Starting from a GGA-PBE-relaxed structure, the powder diffractogram of OsRu5 was simulated for Cu Kα (λ = 1.5418 Å).

Principal peaks in the range 2θ from 10° to 90°, most intense first:
two_theta, I (rel.), h k l
43.67, 100, 1 1 1
38.12, 25, 1 1 0
41.73, 25, 0 0 2
83.89, 20, 3 0 2
77.54, 18, 1 1 3
68.89, 17, 3 0 0
57.79, 15, 1 1 2
85.22, 14, 2 2 1
21.74, 5, 1 0 0
30.06, 5, 1 0 1
81.56, 3, 2 2 0
20.52, 2, 0 0 1

```
data_OsRu5
_cell_length_a 4.7214
_cell_length_b 4.7214
_cell_length_c 4.3287
_cell_angle_alpha 90.00
_cell_angle_beta 90.00
_cell_angle_gamma 120.00
_space_group_name_H-M_alt 'P -6 2 m'
_space_group_IT_number 189
_space_group_name_Hall 'P -6 -2'
loop_
_atom_site_label
_atom_site_fract_x
_atom_site_fract_y
_atom_site_fract_z
Os1 0.0000 0.0000 0.0000
Ru1 0.0000 0.6672 0.5000
Ru2 0.3333 0.6667 0.0000
```

Starting from a GGA-PBE-relaxed structure, the powder diffractogram of Os2RuS was simulated for Cu Kα (λ = 1.5418 Å).

Principal peaks in the range 2θ from 10° to 90°, most intense first:
two_theta, I (rel.), h k l
28.86, 100, 1 1 2
48.12, 40, 2 0 4
56.84, 28, 3 1 2
47.85, 19, 2 2 0
57.32, 15, 1 1 6
89.44, 12, 4 2 4
33.33, 11, 2 0 0
77.82, 11, 3 1 6
33.69, 6, 0 0 4
38.38, 6, 2 1 1
69.99, 6, 4 0 0
77.41, 5, 3 3 2

```
data_Os2RuS
_cell_length_a 5.3771
_cell_length_b 5.3771
_cell_length_c 10.6413
_cell_angle_alpha 90.00
_cell_angle_beta 90.00
_cell_angle_gamma 90.00
_space_group_name_H-M_alt 'I -4 2 d'
_space_group_IT_number 122
_space_group_name_Hall 'I -4 2bw'
loop_
_atom_site_label
_atom_site_fract_x
_atom_site_fract_y
_atom_site_fract_z
Os1 0.2250 0.2500 0.1250
Ru1 0.0000 0.0000 0.5000
S1 0.0000 0.0000 0.0000
```

Starting from a GGA-PBE-relaxed structure, the powder diffractogram of TiOsRuS was simulated for Cu Kα (λ = 1.5418 Å).

Principal peaks in the range 2θ from 10° to 90°, most intense first:
two_theta, I (rel.), h k l
42.17, 100, 1 1 1
42.47, 64, 3 1 -1
39.91, 40, 2 0 -2
22.39, 38, 2 0 -1
32.19, 38, 1 1 0
22.11, 25, 0 0 1
36.99, 23, 2 0 1
37.52, 23, 4 0 -1
62.78, 16, 5 1 0
20.74, 15, 2 0 0
77.57, 14, 7 1 -2
52.03, 13, 1 1 -2

```
data_TiOsRuS
_cell_length_a 9.6237
_cell_length_b 2.9405
_cell_length_c 4.5186
_cell_angle_alpha 90.00
_cell_angle_beta 117.13
_cell_angle_gamma 90.00
_space_group_name_H-M_alt 'C 1 m 1'
_space_group_IT_number 8
loop_
_space_group_symop_operation_xyz
'x,y,z'
'x,-y,z'
'x+1/2,y+1/2,z'
'x+1/2,-y+1/2,z'
loop_
_atom_site_label
_atom_site_fract_x
_atom_site_fract_y
_atom_site_fract_z
Ti1 0.0000 0.0000 0.0000
Os1 0.4315 0.0000 0.4398
Ru1 0.2088 0.0000 0.7058
S1 0.2259 0.5000 0.1180
```

Starting from a GGA-PBE-relaxed structure, the powder diffractogram of TiOsRuS was simulated for Cu Kα (λ = 1.5418 Å).

Principal peaks in the range 2θ from 10° to 90°, most intense first:
two_theta, I (rel.), h k l
12.38, 100, 0 0 2
36.05, 80, 1 0 3
44.32, 73, 1 0 5
43.81, 51, 1 1 0
31.24, 33, 1 0 1
80.86, 25, 2 1 5
69.54, 22, 1 1 8
51.09, 21, 0 0 8
75.41, 18, 2 1 3
45.70, 18, 1 1 2
63.68, 16, 2 0 0
54.84, 16, 1 0 7

```
data_TiOsRuS
_cell_length_a 2.9225
_cell_length_b 2.9225
_cell_length_c 14.2950
_cell_angle_alpha 90.00
_cell_angle_beta 90.00
_cell_angle_gamma 90.00
_space_group_name_H-M_alt 'I 4 m m'
_space_group_IT_number 107
_space_group_name_Hall 'I 4 -2'
loop_
_atom_site_label
_atom_site_fract_x
_atom_site_fract_y
_atom_site_fract_z
Ti1 0.0000 0.0000 0.0000
Os1 0.0000 0.0000 0.7506
Ru1 0.0000 0.0000 0.3603
S1 0.0000 0.0000 0.5896
```

Starting from a GGA-PBE-relaxed structure, the powder diffractogram of TiOsRuS was simulated for Cu Kα (λ = 1.5418 Å).

Principal peaks in the range 2θ from 10° to 90°, most intense first:
two_theta, I (rel.), h k l
37.89, 100, 1 1 -1
21.43, 94, 0 0 1
42.07, 83, 3 1 0
39.20, 60, 4 0 -1
43.69, 48, 0 0 2
32.26, 42, 1 1 0
40.19, 36, 1 1 1
53.52, 33, 1 1 -2
50.56, 30, 3 1 1
47.65, 29, 4 0 1
37.49, 29, 4 0 0
31.36, 27, 2 0 1

```
data_TiOsRuS
_cell_length_a 9.8180
_cell_length_b 2.8992
_cell_length_c 4.2430
_cell_angle_alpha 90.00
_cell_angle_beta 102.24
_cell_angle_gamma 90.00
_space_group_name_H-M_alt 'C 1 m 1'
_space_group_IT_number 8
loop_
_space_group_symop_operation_xyz
'x,y,z'
'x,-y,z'
'x+1/2,y+1/2,z'
'x+1/2,-y+1/2,z'
loop_
_atom_site_label
_atom_site_fract_x
_atom_site_fract_y
_atom_site_fract_z
Ti1 0.0000 0.0000 0.0000
Os1 0.3834 0.0000 0.4516
Ru1 0.1535 0.5000 0.5818
S1 0.2342 0.5000 0.1115
```

Starting from a GGA-PBE-relaxed structure, the powder diffractogram of Sc4OsRu3 was simulated for Cu Kα (λ = 1.5418 Å).

Principal peaks in the range 2θ from 10° to 90°, most intense first:
two_theta, I (rel.), h k l
39.71, 100, 1 1 4
39.59, 50, 2 0 0
71.91, 33, 3 1 4
27.71, 29, 1 1 0
57.24, 17, 2 2 0
72.15, 16, 2 0 8
27.87, 14, 0 0 4
49.11, 13, 2 0 4
64.80, 11, 3 1 0
85.58, 10, 2 2 8
57.60, 8, 0 0 8
20.71, 8, 1 0 1

```
data_Sc4OsRu3
_cell_length_a 4.5524
_cell_length_b 4.5524
_cell_length_c 12.8026
_cell_angle_alpha 90.00
_cell_angle_beta 90.00
_cell_angle_gamma 90.00
_space_group_name_H-M_alt 'I 4/m m m'
_space_group_IT_number 139
_space_group_name_Hall '-I 4 2'
loop_
_atom_site_label
_atom_site_fract_x
_atom_site_fract_y
_atom_site_fract_z
Sc1 0.0000 0.5000 0.1248
Os1 0.0000 0.0000 0.0000
Ru1 0.0000 0.0000 0.2488
Ru2 0.0000 0.0000 0.5000
```

Repeat the fourth record exactly.
Starting from a GGA-PBE-relaxed structure, the powder diffractogram of TiOsRuS was simulated for Cu Kα (λ = 1.5418 Å).

Principal peaks in the range 2θ from 10° to 90°, most intense first:
two_theta, I (rel.), h k l
12.38, 100, 0 0 2
36.05, 80, 1 0 3
44.32, 73, 1 0 5
43.81, 51, 1 1 0
31.24, 33, 1 0 1
80.86, 25, 2 1 5
69.54, 22, 1 1 8
51.09, 21, 0 0 8
75.41, 18, 2 1 3
45.70, 18, 1 1 2
63.68, 16, 2 0 0
54.84, 16, 1 0 7

```
data_TiOsRuS
_cell_length_a 2.9225
_cell_length_b 2.9225
_cell_length_c 14.2950
_cell_angle_alpha 90.00
_cell_angle_beta 90.00
_cell_angle_gamma 90.00
_space_group_name_H-M_alt 'I 4 m m'
_space_group_IT_number 107
_space_group_name_Hall 'I 4 -2'
loop_
_atom_site_label
_atom_site_fract_x
_atom_site_fract_y
_atom_site_fract_z
Ti1 0.0000 0.0000 0.0000
Os1 0.0000 0.0000 0.7506
Ru1 0.0000 0.0000 0.3603
S1 0.0000 0.0000 0.5896
```

> Which formula does entry 5 have?

TiOsRuS